Theoretical powder X-ray diffraction pattern of Zn2NiAsO6 for CuKα, from a cell relaxed with GGA+U.
Intensities are scaled so that the largest is 100.

Unit cell a=9.5853 b=8.6353 c=5.2170 alpha=90.00 beta=95.20 gamma=90.00
Space group C2/c (No. 15)
Symmetry-distinct sites (fractional):
Zn  0.1847  0.0988  0.2927 [8 per cell]
Ni  0.0000  0.4163  0.2500 [4 per cell]
As  0.0000  0.2423  0.7500 [4 per cell]
O  0.0996  0.2633  0.0752 [8 per cell]
O  0.1062  0.4130  0.6252 [8 per cell]
O  0.1268  0.1063  0.6473 [8 per cell]

Peak list (10 most intense, 2θ from 10° to 90°, by angle)
- 29.9 deg, rel. 92, hkl 3 1 0
- 31.9 deg, rel. 38, hkl 2 2 -1
- 33.3 deg, rel. 37, hkl 3 1 -1
- 33.8 deg, rel. 75, hkl 2 2 1
- 34.5 deg, rel. 72, hkl 0 0 2
- 36.5 deg, rel. 100, hkl 1 3 -1
- 44.2 deg, rel. 28, hkl 3 1 -2
- 59.4 deg, rel. 39, hkl 5 3 -1
- 62.3 deg, rel. 41, hkl 5 3 1
- 62.6 deg, rel. 57, hkl 1 3 -3